Starting from a DFT-relaxed cell (GGA-PBE, the Materials Project), the X-ray diffraction stick pattern of K3B5PH2O13 was simulated for Cu Kα (weighted mean of Kα1 and Kα2).

Main lines, sorted by position (10° ≤ 2θ ≤ 90°):
2theta  d (Å)  Rel. int.
14.39  6.153  63.1
18.63  4.762  48.4
24.81  3.589  92.6
25.10  3.548  66.6
28.11  3.174  85.8
28.52  3.130  33.8
28.99  3.080  100.0
29.91  2.987  45.6
39.56  2.278  48.7
46.08  1.970  36.0

Crystal structure
Lattice parameters (Å, degrees): 6.923 7.411 12.338 90.00 94.10 90.00
Positions (direct):
K (0.000, 0.088, 0.250)
K (0.000, 0.912, 0.750)
K (0.353, 0.252, 0.948)
K (0.353, 0.748, 0.448)
K (0.647, 0.252, 0.552)
K (0.647, 0.748, 0.052)
B (0.000, 0.383, 0.750)
B (0.000, 0.617, 0.250)
B (0.135, 0.313, 0.575)
B (0.135, 0.687, 0.075)
B (0.327, 0.479, 0.198)
B (0.327, 0.521, 0.698)
B (0.673, 0.479, 0.302)
B (0.673, 0.521, 0.802)
B (0.865, 0.313, 0.925)
B (0.865, 0.687, 0.425)
P (0.500, 0.151, 0.250)
P (0.500, 0.849, 0.750)
H (0.189, 0.273, 0.423)
H (0.189, 0.727, 0.923)
H (0.811, 0.273, 0.077)
H (0.811, 0.727, 0.577)
O (0.017, 0.265, 0.655)
O (0.017, 0.735, 0.155)
O (0.102, 0.227, 0.475)
O (0.102, 0.773, 0.975)
O (0.171, 0.498, 0.271)
O (0.171, 0.502, 0.771)
O (0.282, 0.438, 0.590)
O (0.282, 0.562, 0.090)
O (0.361, 0.281, 0.177)
O (0.361, 0.719, 0.677)
O (0.383, 0.043, 0.327)
O (0.383, 0.957, 0.827)
O (0.500, 0.435, 0.750)
O (0.500, 0.565, 0.250)
O (0.617, 0.043, 0.173)
O (0.617, 0.957, 0.673)
O (0.639, 0.281, 0.323)
O (0.639, 0.719, 0.823)
O (0.718, 0.438, 0.910)
O (0.718, 0.562, 0.410)
O (0.829, 0.498, 0.229)
O (0.829, 0.502, 0.729)
O (0.898, 0.227, 0.025)
O (0.898, 0.773, 0.525)
O (0.983, 0.265, 0.845)
O (0.983, 0.735, 0.345)